(1)
Starting from a structure optimized by DFT (PBE), the X-ray diffraction stick pattern of SrCeCuIr was simulated for CuKα.
No peak broadening, texture or thermal motion is included.

Most intense lines, 10 to 90 degrees two-theta, in order of rising 2θ:
2θ (°), I/Imax
21.6, 17
35.6, 100
51.2, 18
63.9, 36
75.3, 11
86.2, 16

Cell: 7.1384 7.1384 7.1384 Å, 90.00 90.00 90.00°
Space group F-43m (No. 216)
Unique sites:
Sr: 0.0000 0.0000 0.0000 x4
Ce: 0.0000 0.0000 0.5000 x4
Cu: 0.2500 0.2500 0.7500 x4
Ir: 0.2500 0.2500 0.2500 x4

---

(2)
Starting from a structure optimized by DFT (PBE), the X-ray diffraction stick pattern of KCeCuO4 was simulated for CuKα.
No peak broadening, texture or thermal motion is included.

Most intense lines, 10 to 90 degrees two-theta, in order of rising 2θ:
2θ (°), I/Imax
10.8, 100
20.5, 17
28.1, 34
29.5, 35
35.3, 18
35.4, 16

Cell: 5.5894 5.0875 8.5146 Å, 90.00 105.03 90.00°
Space group P2_1/m (No. 11)
Unique sites:
K: 0.1015 0.2500 0.1328 x2
Ce: 0.2338 0.7500 0.4564 x2
Cu: 0.3225 0.2500 0.7305 x2
O: 0.0493 0.2500 0.8034 x2
O: 0.0694 0.2500 0.4430 x2
O: 0.4865 0.0000 0.3289 x4

---

(3)
Starting from a structure optimized by DFT (PBE), the X-ray diffraction stick pattern of K2CeCuS4 was simulated for CuKα.
No peak broadening, texture or thermal motion is included.

Most intense lines, 10 to 90 degrees two-theta, in order of rising 2θ:
2θ (°), I/Imax
16.2, 59
24.4, 24
27.8, 100
34.8, 38
45.1, 46
51.0, 22

Cell: 7.2992 7.2992 8.2118 Å, 90.00 90.00 90.00°
Space group I-4 (No. 82)
Unique sites:
K: 0.0000 0.0000 0.0000 x2
K: 0.0000 0.5000 0.2500 x2
Ce: 0.0000 0.5000 0.7500 x2
Cu: 0.0000 0.0000 0.5000 x2
S: 0.1738 0.7559 0.5862 x8